Theoretical powder diffractogram
Compound: LaMgCu
Radiation: Cu Kα (weighted mean of Kα1 and Kα2)
Structure: DFT lattice parameters and positions (PBE)
Peak positions follow from Bragg's law for the DFT cell and can differ from measured ones.

Most intense lines, 5 to 70 degrees two-theta, by angle:
| 2theta | Rel. int. | index |
| --- | --- | --- |
| 23.08 | 35 | 1 1 0 |
| 26.71 | 30 | 2 0 0 |
| 31.63 | 99 | 1 1 1 |
| 34.44 | 100 | 2 0 1 |
| 35.59 | 32 | 2 1 0 |
| 54.23 | 33 | 3 1 1 |

```
data_LaMgCu
_symmetry_space_group_name_H-M 'P -6 2 m'
_symmetry_Int_Tables_number 189
_symmetry_space_group_name_Hall 'P -6 -2'
_cell_length_a 7.7063
_cell_length_b 7.7063
_cell_length_c 4.1654
_cell_angle_alpha 90.00
_cell_angle_beta 90.00
_cell_angle_gamma 120.00
loop_
_atom_site_label
_atom_site_fract_x
_atom_site_fract_y
_atom_site_fract_z
_atom_site_occupancy
La1 0.0000 0.5867 0.0000 1
Mg1 0.0000 0.2390 0.5000 1
Cu1 0.0000 0.0000 0.0000 1
Cu2 0.3333 0.6667 0.5000 1
```

---

Theoretical powder diffractogram
Compound: Cs3BO3
Radiation: Cu Kα (weighted mean of Kα1 and Kα2)
Structure: DFT lattice parameters and positions (PBE)
Peak positions follow from Bragg's law for the DFT cell and can differ from measured ones.

Most intense lines, 5 to 70 degrees two-theta, by angle:
| 2theta | Rel. int. | index |
| --- | --- | --- |
| 22.50 | 24 | 2 2 0 |
| 26.59 | 19 | 3 1 1 |
| 27.62 | 35 | 1 1 3 |
| 28.16 | 100 | 2 2 2 |
| 35.10 | 27 | 3 3 1 |
| 50.14 | 24 | 2 4 4 |

```
data_Cs3BO3
_symmetry_space_group_name_H-M 'P b a m'
_symmetry_Int_Tables_number 55
_cell_length_a 11.1525
_cell_length_b 11.1976
_cell_length_c 10.6151
_cell_angle_alpha 90.00
_cell_angle_beta 90.00
_cell_angle_gamma 90.00
loop_
_symmetry_equiv_pos_as_xyz
'x,y,z'
'-x,-y,-z'
'-x,-y,z'
'x,y,-z'
'x+1/2,-y+1/2,-z'
'-x+1/2,y+1/2,z'
'-x+1/2,y+1/2,-z'
'x+1/2,-y+1/2,z'
loop_
_atom_site_label
_atom_site_fract_x
_atom_site_fract_y
_atom_site_fract_z
_atom_site_occupancy
Cs1 0.0000 0.0000 0.1843 1
Cs2 0.0000 0.5000 0.3153 1
Cs3 0.0204 0.3306 0.0000 1
Cs4 0.1695 0.0165 0.5000 1
Cs5 0.2466 0.7441 0.2495 1
B1 0.0339 0.7558 0.5000 1
B2 0.2440 0.5332 0.0000 1
O1 0.0073 0.1967 0.3844 1
O2 0.1192 0.6641 0.5000 1
O3 0.1654 0.1199 0.0000 1
O4 0.1974 0.4914 0.1157 1
```

---

Theoretical powder diffractogram
Compound: SmCuSi
Radiation: Cu Kα (weighted mean of Kα1 and Kα2)
Structure: DFT lattice parameters and positions (PBE)
Peak positions follow from Bragg's law for the DFT cell and can differ from measured ones.

Most intense lines, 5 to 70 degrees two-theta, by angle:
| 2theta | Rel. int. | index |
| --- | --- | --- |
| 25.09 | 29 | 1 0 0 |
| 33.43 | 100 | 1 0 1 |
| 44.20 | 34 | 1 1 0 |
| 51.56 | 13 | 2 0 0 |
| 56.53 | 22 | 2 0 1 |
| 64.37 | 22 | 1 1 2 |

```
data_SmCuSi
_symmetry_space_group_name_H-M 'P -6 m 2'
_symmetry_Int_Tables_number 187
_symmetry_space_group_name_Hall 'P -6 2'
_cell_length_a 4.0980
_cell_length_b 4.0980
_cell_length_c 4.0890
_cell_angle_alpha 90.00
_cell_angle_beta 90.00
_cell_angle_gamma 120.00
loop_
_atom_site_label
_atom_site_fract_x
_atom_site_fract_y
_atom_site_fract_z
_atom_site_occupancy
Sm1 0.0000 0.0000 0.0000 1
Cu1 0.3333 0.6667 0.5000 1
Si1 0.6667 0.3333 0.5000 1
```

---

Theoretical powder diffractogram
Compound: Cs3BiCl6
Radiation: Cu Kα (weighted mean of Kα1 and Kα2)
Structure: DFT lattice parameters and positions (PBE)
Peak positions follow from Bragg's law for the DFT cell and can differ from measured ones.

Most intense lines, 5 to 70 degrees two-theta, by angle:
| 2theta | Rel. int. | index |
| --- | --- | --- |
| 21.15 | 36 | 0 2 0 |
| 21.49 | 70 | 5 1 1 |
| 21.87 | 30 | 6 0 -2 |
| 22.49 | 100 | 1 1 -3 |
| 30.62 | 63 | 6 2 -2 |
| 40.25 | 25 | 2 0 -6 |

```
data_Cs3BiCl6
_symmetry_space_group_name_H-M 'C 1 2/c 1'
_symmetry_Int_Tables_number 15
_cell_length_a 27.5150
_cell_length_b 8.4001
_cell_length_c 13.4393
_cell_angle_alpha 90.00
_cell_angle_beta 99.59
_cell_angle_gamma 90.00
loop_
_symmetry_equiv_pos_as_xyz
'x,y,z'
'-x,-y,-z'
'-x,y,-z+1/2'
'x,-y,z+1/2'
'x+1/2,y+1/2,z'
'-x+1/2,-y+1/2,-z'
'-x+1/2,y+1/2,-z+1/2'
'x+1/2,-y+1/2,z+1/2'
loop_
_atom_site_label
_atom_site_fract_x
_atom_site_fract_y
_atom_site_fract_z
_atom_site_occupancy
Cs1 0.0496 0.2457 0.4322 1
Cs2 0.1541 0.1862 0.1451 1
Cs3 0.1614 0.3137 0.7991 1
Bi1 0.0000 0.2836 0.7500 1
Bi2 0.2500 0.2500 0.5000 1
Cl1 0.0571 0.0548 0.6808 1
Cl2 0.0574 0.4744 0.1937 1
Cl3 0.0577 0.2751 0.9351 1
Cl4 0.1732 0.0544 0.4192 1
Cl5 0.1772 0.4547 0.5347 1
Cl6 0.2496 0.1112 0.6855 1
```

---

Theoretical powder diffractogram
Compound: Ca2SnS4
Radiation: Cu Kα (weighted mean of Kα1 and Kα2)
Structure: DFT lattice parameters and positions (PBE)
Peak positions follow from Bragg's law for the DFT cell and can differ from measured ones.

Most intense lines, 5 to 70 degrees two-theta, by angle:
| 2theta | Rel. int. | index |
| --- | --- | --- |
| 22.26 | 65 | 2 2 0 |
| 26.17 | 100 | 3 1 1 |
| 39.07 | 31 | 4 2 2 |
| 41.55 | 38 | 5 1 1 |
| 45.43 | 74 | 4 4 0 |
| 63.24 | 25 | 5 5 3 |

Unit cell a=11.2946 b=11.2946 c=11.2946 alpha=90.00 beta=90.00 gamma=90.00
Space group Fd-3m (No. 227, origin choice 2)
Asymmetric unit:
Ca: 0.0000 0.0000 0.0000 (multiplicity 16)
Sn: 0.1250 0.1250 0.6250 (multiplicity 8)
S: 0.0001 0.0001 0.2499 (multiplicity 32)

---

Theoretical powder diffractogram
Compound: YMn2S4
Radiation: Cu Kα (weighted mean of Kα1 and Kα2)
Structure: DFT lattice parameters and positions (PBE)
Peak positions follow from Bragg's law for the DFT cell and can differ from measured ones.

Most intense lines, 5 to 70 degrees two-theta, by angle:
| 2theta | Rel. int. | index |
| --- | --- | --- |
| 23.28 | 53 | 1 1 2 |
| 26.93 | 45 | 1 0 3 |
| 27.93 | 100 | 2 1 1 |
| 44.55 | 48 | 3 2 1 |
| 47.60 | 76 | 2 2 4 |
| 48.83 | 37 | 4 0 0 |

```
data_YMn2S4
_symmetry_space_group_name_H-M 'I 41/a m d'
_symmetry_Int_Tables_number 141
_cell_length_a 7.4604
_cell_length_b 7.4604
_cell_length_c 11.0845
_cell_angle_alpha 90.00
_cell_angle_beta 90.00
_cell_angle_gamma 90.00
loop_
_symmetry_equiv_pos_as_xyz
'x,y,z'
'-x,-y,-z'
'-y+1/4,x+3/4,z+1/4'
'y+1/4,-x+3/4,-z+1/4'
'-x+1/2,-y,z+1/2'
'x+1/2,y,-z+1/2'
'y+1/4,-x+1/4,z+3/4'
'-y+1/4,x+1/4,-z+3/4'
'x,-y,-z'
'-x,y,z'
'-y+1/4,-x+1/4,-z+3/4'
'y+1/4,x+1/4,z+3/4'
'-x+1/2,y,-z+1/2'
'x+1/2,-y,z+1/2'
'y+1/4,x+3/4,-z+1/4'
'-y+1/4,-x+3/4,z+1/4'
'x+1/2,y+1/2,z+1/2'
'-x+1/2,-y+1/2,-z+1/2'
'-y+3/4,x+1/4,z+3/4'
'y+3/4,-x+1/4,-z+3/4'
'-x,-y+1/2,z'
'x,y+1/2,-z'
'y+3/4,-x+3/4,z+1/4'
'-y+3/4,x+3/4,-z+1/4'
'x+1/2,-y+1/2,-z+1/2'
'-x+1/2,y+1/2,z+1/2'
'-y+3/4,-x+3/4,-z+1/4'
'y+3/4,x+3/4,z+1/4'
'-x,y+1/2,-z'
'x,-y+1/2,z'
'y+3/4,x+1/4,-z+3/4'
'-y+3/4,-x+1/4,z+3/4'
loop_
_atom_site_label
_atom_site_fract_x
_atom_site_fract_y
_atom_site_fract_z
_atom_site_occupancy
Y1 0.0000 0.2500 0.3750 1
Mn1 0.0000 0.0000 0.0000 1
S1 0.0000 0.0255 0.7691 1
```

---

What is the formula in the fifth record?
Ca2SnS4